No. 1
Starting from a cell relaxed with PBE, the powder XRD pattern of LaMo6S8 was computed for copper Kα.

Most intense lines, 2θ = 5–70°, in order of rising 2θ:
13.47 deg, intensity 100.0
18.93 deg, intensity 61.8
30.63 deg, intensity 66.5
33.50 deg, intensity 59.8
40.52 deg, intensity 51.0
41.55 deg, intensity 73.6
43.30 deg, intensity 58.3
45.87 deg, intensity 87.9

Cell and atoms:
a = 6.5743 Å, b = 6.5743 Å, c = 6.5743 Å
α = 88.96°, β = 88.96°, γ = 88.96°
Fractional positions:
La (0.0000, 0.0000, 0.0000)
Mo (0.2267, 0.5624, 0.4207)
Mo (0.4207, 0.2267, 0.5624)
Mo (0.4376, 0.5793, 0.7733)
Mo (0.5624, 0.4207, 0.2267)
Mo (0.5793, 0.7733, 0.4376)
Mo (0.7733, 0.4376, 0.5793)
S (0.1276, 0.3731, 0.7467)
S (0.2442, 0.2442, 0.2442)
S (0.2533, 0.8724, 0.6269)
S (0.3731, 0.7467, 0.1276)
S (0.6269, 0.2533, 0.8724)
S (0.7467, 0.1276, 0.3731)
S (0.7558, 0.7558, 0.7558)
S (0.8724, 0.6269, 0.2533)

No. 2
Starting from a cell relaxed with PBE, the powder XRD pattern of Mn3V2Si3 was computed for copper Kα.

Most intense lines, 2θ = 5–70°, in order of rising 2θ:
29.18 deg, intensity 22.9
31.45 deg, intensity 19.1
38.93 deg, intensity 37.8
40.40 deg, intensity 25.1
43.43 deg, intensity 100.0
44.40 deg, intensity 76.5
45.73 deg, intensity 97.0
65.64 deg, intensity 23.8

Cell and atoms:
a = 7.0675 Å, b = 7.0675 Å, c = 4.7958 Å
α = 90.00°, β = 90.00°, γ = 120.00°
Fractional positions:
Mn (0.0000, 0.2610, 0.2500)
Mn (0.0000, 0.7390, 0.7500)
Mn (0.2610, 0.0000, 0.2500)
Mn (0.2610, 0.2610, 0.7500)
Mn (0.7390, 0.0000, 0.7500)
Mn (0.7390, 0.7390, 0.2500)
V (0.3333, 0.6667, 0.0000)
V (0.3333, 0.6667, 0.5000)
V (0.6667, 0.3333, 0.0000)
V (0.6667, 0.3333, 0.5000)
Si (0.0000, 0.3807, 0.7500)
Si (0.0000, 0.6193, 0.2500)
Si (0.3807, 0.0000, 0.7500)
Si (0.3807, 0.3807, 0.2500)
Si (0.6193, 0.0000, 0.2500)
Si (0.6193, 0.6193, 0.7500)

No. 3
Starting from a cell relaxed with PBE, the powder XRD pattern of Er2Al4CoGe2 was computed for copper Kα.

Most intense lines, 2θ = 5–70°, in order of rising 2θ:
9.11 deg, intensity 68.7
27.55 deg, intensity 36.3
30.76 deg, intensity 70.6
31.69 deg, intensity 57.9
32.15 deg, intensity 63.1
41.77 deg, intensity 100.0
44.06 deg, intensity 58.9
52.76 deg, intensity 24.1

Cell and atoms:
a = 10.1372 Å, b = 10.1372 Å, c = 10.1372 Å
α = 156.61°, β = 156.61°, γ = 33.32°
Fractional positions:
Er (0.1847, 0.1847, 0.0000)
Er (0.8153, 0.8153, 0.0000)
Al (0.0662, 0.5662, 0.5000)
Al (0.4338, 0.9338, 0.5000)
Al (0.5662, 0.0662, 0.5000)
Al (0.9338, 0.4338, 0.5000)
Co (0.0000, 0.0000, 0.0000)
Ge (0.3356, 0.3356, 0.0000)
Ge (0.6644, 0.6644, 0.0000)

No. 4
Starting from a cell relaxed with PBE, the powder XRD pattern of Er2GaCo2 was computed for copper Kα.

Most intense lines, 2θ = 5–70°, in order of rising 2θ:
27.58 deg, intensity 34.1
32.94 deg, intensity 17.3
35.21 deg, intensity 100.0
36.51 deg, intensity 26.2
39.63 deg, intensity 46.8
41.55 deg, intensity 32.9
45.08 deg, intensity 23.8
61.57 deg, intensity 13.7

Cell and atoms:
a = 5.3459 Å, b = 5.3459 Å, c = 5.3459 Å
α = 135.80°, β = 118.86°, γ = 78.49°
Fractional positions:
Er (0.2060, 0.2060, 0.0000)
Er (0.7940, 0.7940, 0.0000)
Ga (0.5000, 0.0000, 0.5000)
Co (0.2154, 0.5000, 0.7154)
Co (0.7846, 0.5000, 0.2846)

No. 5
Starting from a cell relaxed with PBE, the powder XRD pattern of CaCuBi was computed for copper Kα.

Most intense lines, 2θ = 5–70°, in order of rising 2θ:
21.41 deg, intensity 68.0
22.26 deg, intensity 30.5
24.74 deg, intensity 74.1
31.08 deg, intensity 100.0
39.06 deg, intensity 83.9
44.97 deg, intensity 62.0
50.73 deg, intensity 24.9
59.98 deg, intensity 47.1

Cell and atoms:
a = 4.6124 Å, b = 4.6124 Å, c = 8.2988 Å
α = 90.00°, β = 90.00°, γ = 120.00°
Fractional positions:
Ca (0.0000, 0.0000, 0.0000)
Ca (0.0000, 0.0000, 0.5000)
Cu (0.3333, 0.6667, 0.2500)
Cu (0.6667, 0.3333, 0.7500)
Bi (0.3333, 0.6667, 0.7500)
Bi (0.6667, 0.3333, 0.2500)

No. 6
Starting from a cell relaxed with PBE, the powder XRD pattern of ThAsSe was computed for copper Kα.

Most intense lines, 2θ = 5–70°, in order of rising 2θ:
23.88 deg, intensity 88.1
30.52 deg, intensity 46.4
32.31 deg, intensity 37.1
37.23 deg, intensity 100.0
38.37 deg, intensity 69.2
43.71 deg, intensity 50.2
50.41 deg, intensity 25.4
59.54 deg, intensity 39.2

Cell and atoms:
a = 4.1421 Å, b = 4.1421 Å, c = 8.5407 Å
α = 90.00°, β = 90.00°, γ = 90.00°
Fractional positions:
Th (0.2500, 0.2500, 0.2349)
Th (0.7500, 0.7500, 0.7651)
As (0.2500, 0.7500, 0.5000)
As (0.7500, 0.2500, 0.5000)
Se (0.2500, 0.2500, 0.8682)
Se (0.7500, 0.7500, 0.1318)

No. 7
Starting from a cell relaxed with PBE, the powder XRD pattern of Na4CaNbSi2PO12 was computed for copper Kα.

Most intense lines, 2θ = 5–70°, in order of rising 2θ:
13.46 deg, intensity 54.2
18.94 deg, intensity 45.2
19.21 deg, intensity 80.8
30.50 deg, intensity 100.0
30.63 deg, intensity 49.6
33.08 deg, intensity 58.7
33.19 deg, intensity 38.0
45.60 deg, intensity 37.4

Cell and atoms:
a = 9.2589 Å, b = 9.2589 Å, c = 9.2128 Å
α = 119.09°, β = 119.09°, γ = 60.95°
Fractional positions:
Na (0.0472, 0.9528, 0.5000)
Na (0.2108, 0.4454, 0.6618)
Na (0.3128, 0.8329, 0.8967)
Na (0.4454, 0.2108, 0.1618)
Na (0.5583, 0.7296, 0.2749)
Na (0.7296, 0.5583, 0.7749)
Na (0.8329, 0.3128, 0.3967)
Na (0.9528, 0.0472, 0.0000)
Ca (0.1770, 0.6790, 0.0416)
Ca (0.6790, 0.1770, 0.5416)
Nb (0.4768, 0.9769, 0.7402)
Nb (0.9769, 0.4768, 0.2402)
Si (0.0908, 0.2783, 0.8408)
Si (0.2783, 0.0908, 0.3408)
Si (0.7776, 0.8792, 0.1297)
Si (0.8792, 0.7776, 0.6297)
P (0.3712, 0.5926, 0.4431)
P (0.5926, 0.3712, 0.9431)
O (0.0533, 0.3307, 0.0314)
O (0.0596, 0.7342, 0.7853)
O (0.0985, 0.2720, 0.3378)
O (0.1309, 0.4353, 0.8600)
O (0.1968, 0.5565, 0.3958)
O (0.2469, 0.9277, 0.1644)
O (0.2720, 0.0985, 0.8378)
O (0.3307, 0.0533, 0.5314)
O (0.3616, 0.6207, 0.2897)
O (0.3702, 0.7657, 0.6095)
O (0.4353, 0.1309, 0.3600)
O (0.4449, 0.5383, 0.9888)
O (0.5383, 0.4449, 0.4888)
O (0.5565, 0.1968, 0.8958)
O (0.6010, 0.8778, 0.9445)
O (0.6207, 0.3616, 0.7897)
O (0.6879, 0.8308, 0.6661)
O (0.7342, 0.0596, 0.2853)
O (0.7657, 0.3702, 0.1095)
O (0.8308, 0.6879, 0.1661)
O (0.8635, 0.9410, 0.6015)
O (0.8778, 0.6010, 0.4445)
O (0.9277, 0.2469, 0.6644)
O (0.9410, 0.8635, 0.1015)